Starting from a cell relaxed with PBE+U, the powder diffractogram of KMnF4 was simulated for Cu Kα.
No peak broadening, texture or thermal motion is included.

Structural model:
abc: 3.8719 7.7927 6.7805
angles: 90.00 90.00 90.00
Space group Pmmn (No. 59, origin choice 2)
Inequivalent atoms, fractional coordinates:
K (0.2500, 0.2500, 0.0656)
Mn (0.2500, 0.7500, 0.3839)
F (0.2500, 0.2500, 0.6072)
F (0.2500, 0.5770, 0.1824)
F (0.2500, 0.7500, 0.6545)

Peak list (12 most intense, 15° ≤ 2θ ≤ 90°, sorted by position)
Position (°2θ)	intensity
17.34	341
22.82	1000
26.38	176
26.51	388
28.72	437
28.92	736
35.13	181
37.08	175
43.91	317
44.05	387
46.47	227
46.93	287